# 1
Starting from DFT lattice parameters and positions (GGA-PBE), the X-ray powder pattern of CuAsPd3 was simulated for Cu Kα, 1.54184 Å.
Peak positions follow from Bragg's law for the DFT cell and can differ from measured ones.

Crystal structure
Lattice parameters (Å, degrees): 6.103 5.284 9.894 90.00 107.11 90.00
Fractional positions:
Cu1 0.134 0.077 0.126
Cu2 0.134 0.423 0.626
Cu3 0.866 0.577 0.374
Cu4 0.866 0.923 0.874
As1 0.268 0.713 0.000
As2 0.268 0.787 0.500
As3 0.732 0.213 0.500
As4 0.732 0.287 0.000
Pd1 0.043 0.562 0.156
Pd2 0.043 0.938 0.656
Pd3 0.326 0.133 0.902
Pd4 0.326 0.367 0.402
Pd5 0.482 0.619 0.826
Pd6 0.482 0.881 0.326
Pd7 0.518 0.119 0.674
Pd8 0.518 0.381 0.174
Pd9 0.674 0.633 0.598
Pd10 0.674 0.867 0.098
Pd11 0.957 0.062 0.344
Pd12 0.957 0.438 0.844

Top 12 peaks for 2θ from 5° to 70°, low angle first:
d (Å)  I_rel
2.707  11
2.406  12
2.364  15
2.319  12
2.294  62
2.267  100
2.228  48
2.209  58
2.036  11
1.886  32
1.781  15
1.451  17

# 2
Starting from DFT lattice parameters and positions (GGA-PBE), the X-ray powder pattern of Mg5Si9 was simulated for Cu Kα, 1.54184 Å.
Peak positions follow from Bragg's law for the DFT cell and can differ from measured ones.

Crystal structure
Lattice parameters (Å, degrees): 7.746 7.931 10.213 84.48 78.15 61.11
Fractional positions:
Mg1 0.000 0.000 0.000
Mg2 0.013 0.689 0.438
Mg3 0.110 0.353 0.929
Mg4 0.169 0.240 0.385
Mg5 0.350 0.831 0.526
Mg6 0.554 0.120 0.113
Mg7 0.583 0.107 0.817
Mg8 0.617 0.084 0.503
Mg9 0.764 0.676 0.727
Mg10 0.818 0.333 0.233
Si1 0.143 0.967 0.249
Si2 0.190 0.714 0.791
Si3 0.234 0.182 0.661
Si4 0.245 0.484 0.624
Si5 0.247 0.465 0.181
Si6 0.359 0.961 0.033
Si7 0.361 0.904 0.804
Si8 0.390 0.462 0.946
Si9 0.392 0.630 0.261
Si10 0.521 0.458 0.454
Si11 0.627 0.642 0.065
Si12 0.738 0.356 0.926
Si13 0.784 0.505 0.502
Si14 0.828 0.953 0.262
Si15 0.874 0.771 0.927
Si16 0.885 0.271 0.679
Si17 0.902 0.655 0.156
Si18 0.944 0.950 0.637

Top 12 peaks for 2θ from 5° to 70°, low angle first:
d (Å)  I_rel
3.332  51
2.785  54
2.604  61
2.594  48
2.496  51
2.487  68
2.421  62
2.409  100
2.353  62
2.305  90
2.184  54
2.017  55

# 3
Starting from DFT lattice parameters and positions (GGA-PBE), the X-ray powder pattern of La2Mg16Pd was simulated for Cu Kα, 1.54184 Å.
Peak positions follow from Bragg's law for the DFT cell and can differ from measured ones.

Crystal structure
Lattice parameters (Å, degrees): 7.766 7.766 7.766 82.45 82.45 82.45
Fractional positions:
La1 0.000 0.000 0.000
La2 0.343 0.343 0.343
Mg1 0.021 0.021 0.518
Mg2 0.021 0.518 0.021
Mg3 0.155 0.682 0.682
Mg4 0.325 0.325 0.828
Mg5 0.325 0.828 0.325
Mg6 0.377 0.675 0.971
Mg7 0.377 0.971 0.675
Mg8 0.518 0.021 0.021
Mg9 0.592 0.592 0.592
Mg10 0.675 0.377 0.971
Mg11 0.675 0.971 0.377
Mg12 0.682 0.155 0.682
Mg13 0.682 0.682 0.155
Mg14 0.828 0.325 0.325
Mg15 0.971 0.377 0.675
Mg16 0.971 0.675 0.377
Pd1 0.780 0.780 0.780

Top 12 peaks for 2θ from 5° to 70°, low angle first:
d (Å)  I_rel
5.751  35
5.118  97
3.590  72
2.955  83
2.875  31
2.559  85
2.549  100
2.519  25
2.507  25
2.497  38
2.244  30
1.460  28

# 4
Starting from DFT lattice parameters and positions (GGA-PBE), the X-ray powder pattern of Ca8TeAs5 was simulated for Cu Kα, 1.54184 Å.
Peak positions follow from Bragg's law for the DFT cell and can differ from measured ones.

Crystal structure
Lattice parameters (Å, degrees): 7.843 7.843 7.843 109.27 109.27 109.87
Fractional positions:
Ca1 0.120 0.362 0.097
Ca2 0.122 0.368 0.616
Ca3 0.266 0.023 0.903
Ca4 0.494 0.878 0.246
Ca5 0.632 0.248 0.754
Ca6 0.638 0.734 0.757
Ca7 0.752 0.506 0.384
Ca8 0.977 0.880 0.243
Te1 0.250 0.750 0.500
As1 0.006 0.628 0.879
As2 0.372 0.251 0.378
As3 0.500 0.500 0.000
As4 0.749 0.127 0.121
As5 0.873 0.994 0.622

Top 12 peaks for 2θ from 5° to 70°, low angle first:
d (Å)  I_rel
3.698  55
2.870  100
2.852  53
2.423  69
2.415  23
2.029  24
2.018  14
1.931  26
1.780  13
1.776  10
1.772  10
1.472  22